Structure and computed XRD peak list of BaSrW4O12 (DFT lattice parameters and positions (GGA+U); CuKα).

Structure:
Lattice parameters (Å, degrees): 5.6446 5.6446 8.1053 90.00 90.00 90.00
Space group P4/mmm (No. 123)
One atom of each set of equivalent atoms:
Ba: 0.0000 0.0000 0.0000 [1 per cell]
Sr: 0.5000 0.5000 0.5000 [1 per cell]
W: 0.0000 0.5000 0.2520 [4 per cell]
O: 0.0000 0.5000 0.0000 [2 per cell]
O: 0.0000 0.5000 0.5000 [2 per cell]
O: 0.2550 0.2550 0.2544 [8 per cell]

The 6 most intense peaks (2θ from 15° to 90°), by intensity:
d (Å), 2theta, I (rel.), index
2.844, 31.46, 100, 1 1 2
3.991, 22.27, 51, 1 1 0
2.822, 31.70, 49, 2 0 0
1.634, 56.32, 40, 3 1 2
1.996, 45.45, 30, 2 2 0
4.053, 21.93, 26, 0 0 2